Starting from a DFT-relaxed cell (PBE, the Materials Project), the X-ray diffraction stick pattern of Dy2Si3Rh was computed for Cu Kα (weighted mean of Kα1 and Kα2).
Peak positions follow from Bragg's law for the DFT cell and can differ from measured ones.

Cell and atoms:
```
Dy2Si3Rh
1.0
8.1821 0.0000 0.0000
-4.0911 7.0859 0.0000
0.0000 0.0000 7.9107
Dy Si Rh
8 12 4
direct
0.0000 0.0000 0.2500
0.0000 0.0000 0.7500
0.0182 0.5091 0.2500
0.4909 0.5091 0.2500
0.4909 0.9818 0.2500
0.5091 0.0182 0.7500
0.5091 0.4909 0.7500
0.9818 0.4909 0.7500
0.1668 0.3335 0.5007
0.1668 0.3335 0.9993
0.1668 0.8332 0.5007
0.1668 0.8332 0.9993
0.3335 0.1668 0.0007
0.3335 0.1668 0.4993
0.6665 0.8332 0.5007
0.6665 0.8332 0.9993
0.8332 0.1668 0.0007
0.8332 0.1668 0.4993
0.8332 0.6665 0.0007
0.8332 0.6665 0.4993
0.3333 0.6667 0.5324
0.3333 0.6667 0.9676
0.6667 0.3333 0.0324
0.6667 0.3333 0.4676
```

Main lines, in order of falling intensity (10° ≤ 2θ ≤ 90°):
d 2.639, rel. 100, (2 0 2); d 2.046, rel. 36, (2 2 0); d 3.543, rel. 31, (2 0 0); d 1.617, rel. 22, (4 0 2); d 1.422, rel. 19, (2 2 4); d 1.268, rel. 18, (4 2 2); d 1.727, rel. 10, (2 0 4); d 1.978, rel. 10, (0 0 4); d 1.236, rel. 8, (2 0 6); d 1.181, rel. 6, (6 0 0)